(1)
Diffraction record for Rb5Hg2Ge4. The X-ray diffraction stick pattern is simulated, not measured: it uses a cell relaxed with PBE and Cu Kα, 1.54184 Å.
Peak positions follow from Bragg's law for the DFT cell and can differ from measured ones.

Largest 6 diffraction maxima, in order of falling intensity, 2θ from 15° to 90°:
26.33°, I 100; 26.21°, I 71; 15.38°, I 67; 16.73°, I 61; 33.81°, I 59; 28.41°, I 57

Structural model:
Cell: 7.1512 7.1512 8.9139 Å, 94.01 94.01 95.65°
Element x y z (fractional)
Rb: 0.0000 0.0000 0.0000
Rb: 0.1684 0.5853 0.2918
Rb: 0.4147 0.8316 0.7082
Rb: 0.5853 0.1684 0.2918
Rb: 0.8316 0.4147 0.7082
Hg: 0.3671 0.3671 0.9085
Hg: 0.6329 0.6329 0.0915
Ge: 0.1048 0.1048 0.4234
Ge: 0.3058 0.3058 0.6087
Ge: 0.6942 0.6942 0.3913
Ge: 0.8952 0.8952 0.5766

=====

(2)
Diffraction record for RbHgGeSe4. The X-ray diffraction stick pattern is simulated, not measured: it uses a cell relaxed with PBE and Cu Kα, 1.54184 Å.
Peak positions follow from Bragg's law for the DFT cell and can differ from measured ones.

Largest 6 diffraction maxima, in order of falling intensity, 2θ from 15° to 90°:
16.03°, I 100; 33.15°, I 57; 24.77°, I 55; 42.40°, I 40; 38.16°, I 38; 30.76°, I 34

Structural model:
Cell: 6.9963 6.6108 10.4895 Å, 90.00 105.82 90.00°
Element x y z (fractional)
Rb: 0.2190 0.2500 0.0364
Rb: 0.7810 0.7500 0.9636
Hg: 0.2588 0.2500 0.6601
Hg: 0.7412 0.7500 0.3399
Ge: 0.2284 0.7500 0.2990
Ge: 0.7716 0.2500 0.7010
Se: 0.0005 0.5226 0.7124
Se: 0.0005 0.9774 0.7124
Se: 0.3785 0.7500 0.1233
Se: 0.4925 0.2500 0.4997
Se: 0.5075 0.7500 0.5003
Se: 0.6215 0.2500 0.8767
Se: 0.9995 0.0226 0.2876
Se: 0.9995 0.4774 0.2876

=====

(3)
Diffraction record for HgGeS2. The X-ray diffraction stick pattern is simulated, not measured: it uses a cell relaxed with PBE and Cu Kα, 1.54184 Å.
Peak positions follow from Bragg's law for the DFT cell and can differ from measured ones.

Largest 6 diffraction maxima, in order of falling intensity, 2θ from 15° to 90°:
18.86°, I 100; 43.01°, I 58; 26.79°, I 44; 33.08°, I 41; 43.08°, I 32; 58.91°, I 23

Structural model:
Cell: 5.9296 13.3195 7.2795 Å, 90.00 113.97 90.00°
Element x y z (fractional)
Hg: 0.0000 0.2500 0.0000
Hg: 0.0000 0.7500 0.0000
Hg: 0.5000 0.2500 0.0000
Hg: 0.5000 0.7500 0.0000
Ge: 0.0014 0.0000 0.5000
Ge: 0.0013 0.5000 0.4999
Ge: 0.5013 0.0000 0.4999
Ge: 0.5014 0.5000 0.5000
S: 0.1234 0.0000 0.2433
S: 0.2511 0.3716 0.4998
S: 0.2511 0.6284 0.4998
S: 0.3795 0.0000 0.7567
S: 0.6234 0.5000 0.2433
S: 0.7511 0.1284 0.4998
S: 0.7511 0.8716 0.4998
S: 0.8795 0.5000 0.7567

=====

(4)
Diffraction record for HgGeTe2Se. The X-ray diffraction stick pattern is simulated, not measured: it uses a cell relaxed with PBE and Cu Kα, 1.54184 Å.
Peak positions follow from Bragg's law for the DFT cell and can differ from measured ones.

Largest 6 diffraction maxima, in order of falling intensity, 2θ from 15° to 90°:
28.37°, I 100; 32.34°, I 66; 47.56°, I 45; 23.26°, I 34; 55.27°, I 31; 33.91°, I 29

Structural model:
Cell: 5.5366 5.5366 5.2869 Å, 90.00 90.00 90.00°
Element x y z (fractional)
Hg: 0.0000 0.0000 0.0000
Ge: 0.5000 0.5000 0.0000
Te: 0.0000 0.5000 0.5000
Te: 0.5000 0.0000 0.5000
Se: 0.5000 0.5000 0.5000

=====

(5)
Diffraction record for Si2Hg2Ge. The X-ray diffraction stick pattern is simulated, not measured: it uses a cell relaxed with PBE and Cu Kα, 1.54184 Å.
Peak positions follow from Bragg's law for the DFT cell and can differ from measured ones.

Largest 6 diffraction maxima, in order of falling intensity, 2θ from 15° to 90°:
32.88°, I 100; 35.59°, I 95; 38.16°, I 56; 18.83°, I 46; 26.71°, I 42; 29.92°, I 38

Structural model:
Cell: 6.6772 6.6772 4.7132 Å, 90.00 90.00 90.00°
Element x y z (fractional)
Si: 0.1271 0.3729 0.0000
Si: 0.3729 0.8729 0.0000
Si: 0.6271 0.1271 0.0000
Si: 0.8729 0.6271 0.0000
Hg: 0.1929 0.6929 0.5000
Hg: 0.3071 0.1929 0.5000
Hg: 0.6929 0.8071 0.5000
Hg: 0.8071 0.3071 0.5000
Ge: 0.0000 0.0000 0.0000
Ge: 0.5000 0.5000 0.0000

=====

(6)
Diffraction record for Sm4HgGe2. The X-ray diffraction stick pattern is simulated, not measured: it uses a cell relaxed with PBE and Cu Kα, 1.54184 Å.
Peak positions follow from Bragg's law for the DFT cell and can differ from measured ones.

Largest 6 diffraction maxima, in order of falling intensity, 2θ from 15° to 90°:
31.00°, I 100; 30.82°, I 99; 36.54°, I 56; 37.10°, I 40; 36.32°, I 36; 37.44°, I 31

Structural model:
Cell: 8.0050 7.8258 9.1198 Å, 55.75 53.91 70.34°
Element x y z (fractional)
Sm: 0.0589 0.2028 0.0469
Sm: 0.2028 0.0589 0.6914
Sm: 0.2031 0.5586 0.1911
Sm: 0.3264 0.6736 0.4294
Sm: 0.5586 0.2031 0.0472
Sm: 0.6736 0.3264 0.5706
Sm: 0.6794 0.8206 0.5764
Sm: 0.8206 0.6794 0.9236
Hg: 0.0643 0.0643 0.4357
Hg: 0.8143 0.8143 0.1857
Ge: 0.3078 0.5732 0.8092
Ge: 0.4408 0.9402 0.9422
Ge: 0.5732 0.3078 0.3098
Ge: 0.9402 0.4408 0.6768

=====

(7)
Diffraction record for Sm4Hg2Ge. The X-ray diffraction stick pattern is simulated, not measured: it uses a cell relaxed with PBE and Cu Kα, 1.54184 Å.
Peak positions follow from Bragg's law for the DFT cell and can differ from measured ones.

Largest 6 diffraction maxima, in order of falling intensity, 2θ from 15° to 90°:
34.38°, I 100; 34.16°, I 26; 33.78°, I 25; 61.30°, I 19; 48.80°, I 18; 60.81°, I 18

Structural model:
Cell: 7.2940 10.6135 5.2500 Å, 90.00 90.00 90.00°
Element x y z (fractional)
Sm: 0.2409 0.0000 0.0000
Sm: 0.2500 0.2500 0.5000
Sm: 0.2500 0.7500 0.5000
Sm: 0.2591 0.5000 0.0000
Sm: 0.7409 0.5000 0.0000
Sm: 0.7500 0.2500 0.5000
Sm: 0.7500 0.7500 0.5000
Sm: 0.7591 0.0000 0.0000
Hg: 0.0000 0.2638 0.0000
Hg: 0.0000 0.7362 0.0000
Hg: 0.5000 0.2362 0.0000
Hg: 0.5000 0.7638 0.0000
Ge: 0.0000 0.0000 0.5000
Ge: 0.5000 0.5000 0.5000